Entry 1:
Structure and calculated powder XRD pattern of LaB3Ir6 (the GGA-PBE geometry in Alexandria; copper Kα).
No peak broadening, texture or thermal motion is included.

Crystal structure
Cell: 5.5204 5.6986 5.7027 Å, 119.95 105.90 90.06°
Sites, in units of the cell vectors:
La 0.0000 0.0000 0.0000
B 0.4831 0.7686 0.5364
B 0.9388 0.3364 0.6736
B 0.9705 0.6644 0.3299
Ir 0.2401 0.5312 0.5892
Ir 0.2406 0.0583 0.5905
Ir 0.2408 0.5389 0.0763
Ir 0.6825 0.4563 0.9154
Ir 0.6974 0.4545 0.4047
Ir 0.6980 0.9486 0.4031

Main lines, by angle (5° ≤ 2θ ≤ 70°):
| 2θ/deg | d_spacing | Rel. int. |
| --- | --- | --- |
| 18.22 | 4.869 | 30 |
| 34.25 | 2.618 | 46 |
| 36.18 | 2.483 | 22 |
| 36.72 | 2.447 | 48 |
| 36.92 | 2.435 | 100 |
| 38.11 | 2.361 | 27 |
| 46.57 | 1.950 | 43 |
| 65.48 | 1.425 | 40 |

Entry 2:
Structure and calculated powder XRD pattern of LaB4Ir2Os2 (the GGA-PBE geometry in Alexandria; copper Kα).
No peak broadening, texture or thermal motion is included.

Crystal structure
Cell: 7.6917 7.6917 4.0044 Å, 90.00 90.00 90.00°
Sites, in units of the cell vectors:
La 0.0000 0.5000 0.0000
La 0.5000 0.0000 0.5000
B 0.1611 0.2156 0.6165
B 0.2156 0.8389 0.1165
B 0.2775 0.6623 0.3986
B 0.3377 0.2775 0.8986
B 0.6623 0.7225 0.8986
B 0.7225 0.3377 0.3986
B 0.7844 0.1611 0.1165
B 0.8389 0.7844 0.6165
Ir 0.3453 0.3905 0.3955
Ir 0.3905 0.6547 0.8955
Ir 0.6095 0.3453 0.8955
Ir 0.6547 0.6095 0.3955
Os 0.1083 0.8549 0.6129
Os 0.1451 0.1083 0.1129
Os 0.8549 0.8917 0.1129
Os 0.8917 0.1451 0.6129

Main lines, by angle (5° ≤ 2θ ≤ 70°):
| 2θ/deg | d_spacing | Rel. int. |
| --- | --- | --- |
| 16.30 | 5.439 | 31 |
| 27.66 | 3.225 | 21 |
| 34.37 | 2.609 | 100 |
| 36.96 | 2.432 | 59 |
| 40.08 | 2.250 | 29 |
| 46.89 | 1.938 | 26 |
| 48.34 | 1.883 | 21 |
| 58.48 | 1.578 | 17 |

Entry 3:
Structure and calculated powder XRD pattern of LaZn2BIr2 (the GGA-PBE geometry in Alexandria; copper Kα).
No peak broadening, texture or thermal motion is included.

Crystal structure
Cell: 4.1728 4.1728 5.7735 Å, 90.00 90.00 90.00°
Sites, in units of the cell vectors:
La 0.0000 0.0000 0.0000
Zn 0.5000 0.5000 0.2190
Zn 0.5000 0.5000 0.7810
B 0.0000 0.0000 0.5000
Ir 0.0000 0.5000 0.5000
Ir 0.5000 0.0000 0.5000

Main lines, by angle (5° ≤ 2θ ≤ 70°):
| 2θ/deg | d_spacing | Rel. int. |
| --- | --- | --- |
| 15.35 | 5.773 | 29 |
| 30.98 | 2.887 | 17 |
| 34.13 | 2.627 | 100 |
| 37.90 | 2.374 | 20 |
| 43.37 | 2.086 | 40 |
| 43.88 | 2.063 | 24 |
| 54.25 | 1.691 | 15 |
| 57.14 | 1.612 | 15 |

Entry 4:
Structure and calculated powder XRD pattern of LiB2Ir4 (the GGA-PBE geometry in Alexandria; copper Kα).
No peak broadening, texture or thermal motion is included.

Crystal structure
Cell: 7.2965 7.2965 7.2965 Å, 133.12 62.31 141.37°
Sites, in units of the cell vectors:
Li 0.1264 0.2500 0.3764
Li 0.8736 0.7500 0.6236
B 0.0105 0.5136 0.9969
B 0.2122 0.2122 0.0000
B 0.2122 0.7122 0.5000
B 0.5166 0.0136 0.0031
Ir 0.1154 0.7682 0.8472
Ir 0.3233 0.0288 0.3269
Ir 0.3233 0.4964 0.7946
Ir 0.5218 0.2774 0.7444
Ir 0.5329 0.7774 0.2556
Ir 0.7018 0.5288 0.2054
Ir 0.7018 0.9964 0.6731
Ir 0.9210 0.2682 0.1528

Main lines, by angle (5° ≤ 2θ ≤ 70°):
| 2θ/deg | d_spacing | Rel. int. |
| --- | --- | --- |
| 19.72 | 4.502 | 29 |
| 27.97 | 3.190 | 40 |
| 34.06 | 2.632 | 68 |
| 37.26 | 2.413 | 59 |
| 40.67 | 2.218 | 89 |
| 42.33 | 2.135 | 100 |
| 51.37 | 1.779 | 48 |
| 64.22 | 1.450 | 28 |

Entry 5:
Structure and calculated powder XRD pattern of Li2SiB2Ir5 (the GGA-PBE geometry in Alexandria; copper Kα).
No peak broadening, texture or thermal motion is included.

Crystal structure
Cell: 9.3232 9.3232 2.8608 Å, 90.00 90.00 90.00°
Sites, in units of the cell vectors:
Li 0.1747 0.3253 0.0000
Li 0.3253 0.8253 0.0000
Li 0.6747 0.1747 0.0000
Li 0.8253 0.6747 0.0000
Si 0.0000 0.0000 0.0000
Si 0.5000 0.5000 0.0000
B 0.1272 0.6272 0.0000
B 0.3728 0.1272 0.0000
B 0.6272 0.8728 0.0000
B 0.8728 0.3728 0.0000
Ir 0.0000 0.5000 0.5000
Ir 0.0709 0.7914 0.5000
Ir 0.2086 0.0709 0.5000
Ir 0.2914 0.5709 0.5000
Ir 0.4291 0.2914 0.5000
Ir 0.5000 0.0000 0.5000
Ir 0.5709 0.7086 0.5000
Ir 0.7086 0.4291 0.5000
Ir 0.7914 0.9291 0.5000
Ir 0.9291 0.2086 0.5000

Main lines, by angle (5° ≤ 2θ ≤ 70°):
| 2θ/deg | d_spacing | Rel. int. |
| --- | --- | --- |
| 21.31 | 4.169 | 57 |
| 30.32 | 2.948 | 73 |
| 31.27 | 2.861 | 100 |
| 34.69 | 2.586 | 56 |
| 39.87 | 2.261 | 68 |
| 44.11 | 2.053 | 80 |
| 47.39 | 1.918 | 53 |
| 51.52 | 1.774 | 61 |

Entry 6:
Structure and calculated powder XRD pattern of Li2SnB2Ir5 (the GGA-PBE geometry in Alexandria; copper Kα).
No peak broadening, texture or thermal motion is included.

Crystal structure
Cell: 9.6783 9.6783 2.9369 Å, 90.00 90.00 90.00°
Sites, in units of the cell vectors:
Li 0.1764 0.3236 0.0000
Li 0.3236 0.8236 0.0000
Li 0.6764 0.1764 0.0000
Li 0.8236 0.6764 0.0000
Sn 0.0000 0.0000 0.0000
Sn 0.5000 0.5000 0.0000
B 0.1227 0.6227 0.0000
B 0.3773 0.1227 0.0000
B 0.6227 0.8773 0.0000
B 0.8773 0.3773 0.0000
Ir 0.0000 0.5000 0.5000
Ir 0.0711 0.7760 0.5000
Ir 0.2240 0.0711 0.5000
Ir 0.2760 0.5711 0.5000
Ir 0.4289 0.2760 0.5000
Ir 0.5000 0.0000 0.5000
Ir 0.5711 0.7240 0.5000
Ir 0.7240 0.4289 0.5000
Ir 0.7760 0.9289 0.5000
Ir 0.9289 0.2240 0.5000

Main lines, by angle (5° ≤ 2θ ≤ 70°):
| 2θ/deg | d_spacing | Rel. int. |
| --- | --- | --- |
| 20.52 | 4.328 | 88 |
| 30.44 | 2.937 | 89 |
| 33.38 | 2.684 | 59 |
| 38.35 | 2.347 | 68 |
| 41.74 | 2.164 | 81 |
| 42.67 | 2.119 | 100 |
| 45.79 | 1.981 | 57 |
| 49.72 | 1.834 | 61 |